Entry 1:
AlTlInF6: theoretical X-ray diffraction stick pattern (Cu Ka), based on a structure optimized by DFT (PBE).

The 10 most intense peaks (10 to 80 degrees two-theta), in order of falling intensity:
23.68°, rel. 100
31.09°, rel. 27
44.66°, rel. 25
51.02°, rel. 17
39.43°, rel. 16
17.80°, rel. 15
36.22°, rel. 12
51.32°, rel. 11
51.14°, rel. 8
39.50°, rel. 8

Structural model:
Unit cell a=5.7586 b=5.7586 c=5.7182 alpha=90.05 beta=90.05 gamma=120.16
Positions (direct):
Al (0.0000, 0.0000, 0.0000)
Tl (0.6664, 0.3336, 0.5000)
In (0.3329, 0.6671, 0.0000)
F (0.0156, 0.2707, 0.8157)
F (0.0165, 0.7456, 0.1844)
F (0.2544, 0.9835, 0.8156)
F (0.2562, 0.2724, 0.1837)
F (0.7276, 0.7438, 0.8163)
F (0.7293, 0.9844, 0.1843)



Entry 2:
TaZnSb2Te: theoretical X-ray diffraction stick pattern (Cu Ka), based on a structure optimized by DFT (PBE).

The 10 most intense peaks (10 to 80 degrees two-theta), in order of falling intensity:
33.14°, rel. 100
16.40°, rel. 78
47.75°, rel. 71
28.67°, rel. 52
33.38°, rel. 49
37.21°, rel. 40
59.36°, rel. 37
16.51°, rel. 36
47.57°, rel. 36
23.32°, rel. 31

Structural model:
Unit cell a=5.4067 b=5.4067 c=5.3680 alpha=90.00 beta=90.00 gamma=90.00
Positions (direct):
Ta (0.0000, 0.0000, 0.0000)
Zn (0.5000, 0.5000, 0.5000)
Sb (0.0000, 0.5000, 0.0000)
Sb (0.5000, 0.0000, 0.0000)
Te (0.0000, 0.0000, 0.5000)